# 1
The following is a theoretical PXRD pattern of BaSr2Y6O12. It was derived from a crystal structure in Alexandria, relaxed with GGA-PBE, using λ = 1.5418 Å (Cu Kα).
Kinematic intensities with the Lorentz-polarization factor, no thermal factor.

Main lines, by angle (5° ≤ 2θ ≤ 70°):
- 29.77 deg, I 100.0
- 31.02 deg, I 55.8
- 43.53 deg, I 32.4
- 52.84 deg, I 33.9
- 53.62 deg, I 30.9
- 61.83 deg, I 37.9

Crystal structure
Cell lengths 10.3970, 10.3970, 3.4650 Å; angles 90.00, 90.00, 120.00 degrees
Fractional positions:
Ba 0.0000 0.0000 0.0000
Sr 0.3333 0.6667 0.5000
Sr 0.6667 0.3333 0.0000
Y 0.0011 0.3481 0.0000
Y 0.3470 0.3451 0.5000
Y 0.3470 0.9989 0.0000
Y 0.6519 0.6530 0.0000
Y 0.6549 0.0019 0.5000
Y 0.9981 0.6530 0.5000
O 0.1011 0.2803 0.5000
O 0.1288 0.6060 0.0000
O 0.1792 0.8989 0.5000
O 0.3099 0.1946 0.0000
O 0.3940 0.5228 0.0000
O 0.4772 0.8712 0.0000
O 0.5203 0.1234 0.5000
O 0.6031 0.4797 0.5000
O 0.7197 0.8208 0.5000
O 0.8054 0.1153 0.0000
O 0.8766 0.3969 0.5000
O 0.8847 0.6901 0.0000



# 2
The following is a theoretical PXRD pattern of Mg2Cu3Ir. It was derived from a crystal structure in Alexandria, relaxed with GGA-PBE, using λ = 1.5418 Å (Cu Kα).
Kinematic intensities with the Lorentz-polarization factor, no thermal factor.

Main lines, by angle (5° ≤ 2θ ≤ 70°):
- 22.15 deg, I 100.0
- 40.54 deg, I 24.1
- 41.45 deg, I 21.6
- 42.47 deg, I 43.9
- 42.65 deg, I 21.7
- 45.18 deg, I 48.5

Crystal structure
Cell lengths 4.8672, 4.8672, 5.1970 Å; angles 118.16, 118.16, 60.13 degrees
Fractional positions:
Mg 0.1280 0.1280 0.3840
Mg 0.8720 0.8720 0.6160
Cu 0.0000 0.5000 0.0000
Cu 0.5000 0.0000 0.0000
Cu 0.5000 0.5000 0.0000
Ir 0.5000 0.5000 0.5000